Record 1
Theoretical powder diffractogram
Compound: Sm3YSc
Radiation: Cu Kα, 1.54184 Å
Structure: DFT lattice parameters and positions (PBE)
Kinematic intensities with the Lorentz-polarization factor, no thermal factor.

Crystal structure
```
20
Lattice="3.5148 0.0000 0.0000 0.0000 17.3755 0.0000 0.0000 0.0000 10.6662" Properties=species:S:1:pos:R:3 pbc="T T T"
Sm 0.8537 4.3439 0.0000
Sm 0.8537 4.3439 5.3331
Sm 0.8954 10.0224 0.6493
Sm 0.8954 10.0224 4.6838
Sm 0.8954 16.0408 5.9825
Sm 0.8954 16.0408 10.0169
Sm 2.6195 1.3347 0.6493
Sm 2.6195 1.3347 4.6838
Sm 2.6195 7.3531 5.9825
Sm 2.6195 7.3531 10.0169
Sm 2.6612 13.0316 0.0000
Sm 2.6612 13.0316 5.3331
Y 0.8403 1.7953 7.9997
Y 0.8403 6.8925 2.6666
Y 2.6746 10.4830 7.9997
Y 2.6746 15.5802 2.6666
Sc 0.9144 12.6285 2.6666
Sc 0.9144 13.4347 7.9997
Sc 2.6004 3.9408 2.6666
Sc 2.6004 4.7470 7.9997
```

Largest 6 diffraction maxima, sorted by position, 2θ = 10–90°:
d_spacing, I (rel.)
5.333, 31.4
3.291, 34.6
3.005, 31.3
2.896, 41.2
2.618, 100.0
1.614, 26.9

=====

Record 2
Theoretical powder diffractogram
Compound: ErSc4Ag
Radiation: Cu Kα, 1.54184 Å
Structure: DFT lattice parameters and positions (PBE)
Kinematic intensities with the Lorentz-polarization factor, no thermal factor.

Crystal structure
```
12
Lattice="2.5926 -9.5225 0.0000 2.5926 9.5225 0.0000 0.0000 0.0000 6.0138" Properties=species:S:1:pos:R:3 pbc="T T T"
Er 2.5926 8.3111 3.0069
Er 2.5926 -8.3111 0.0000
Sc 2.5926 6.8717 0.0190
Sc 2.5926 4.7067 2.2878
Sc 2.5926 3.5313 5.1855
Sc 2.5926 0.8061 4.0396
Sc 2.5926 -0.8061 1.0327
Sc 2.5926 -3.5313 2.1786
Sc 2.5926 -4.7067 5.2947
Sc 2.5926 -6.8717 3.0259
Ag 2.5926 1.9339 1.4929
Ag 2.5926 -1.9339 4.4999
```

Largest 6 diffraction maxima, sorted by position, 2θ = 10–90°:
d_spacing, I (rel.)
5.085, 32.6
3.340, 41.1
2.734, 88.6
2.593, 59.6
2.577, 100.0
2.236, 32.7

=====

Record 3
Theoretical powder diffractogram
Compound: Cd2SbPd5Au2
Radiation: Cu Kα, 1.54184 Å
Structure: DFT lattice parameters and positions (PBE)
Kinematic intensities with the Lorentz-polarization factor, no thermal factor.

Crystal structure
```
20
Lattice="10.4278 0.0000 0.0000 0.0000 10.4278 0.0000 0.0000 0.0000 3.3976" Properties=species:S:1:pos:R:3 pbc="T T T"
Cd 1.6418 3.5721 0.0000
Cd 3.5721 8.7860 0.0000
Cd 6.8557 1.6418 0.0000
Cd 8.7860 6.8557 0.0000
Sb 0.0000 0.0000 0.0000
Sb 5.2139 5.2139 0.0000
Pd 0.0000 5.2139 1.6988
Pd 0.0694 8.3406 1.6988
Pd 2.0872 0.0694 1.6988
Pd 3.1267 5.2833 1.6988
Pd 5.1445 3.1267 1.6988
Pd 5.2139 0.0000 1.6988
Pd 5.2833 7.3011 1.6988
Pd 7.3011 5.1445 1.6988
Pd 8.3406 10.3584 1.6988
Pd 10.3584 2.0872 1.6988
Au 1.5767 6.7907 0.0000
Au 3.6372 1.5767 0.0000
Au 6.7907 8.8511 0.0000
Au 8.8511 3.6372 0.0000
```

Largest 6 diffraction maxima, sorted by position, 2θ = 10–90°:
d_spacing, I (rel.)
2.498, 24.2
2.458, 50.7
2.366, 100.0
2.068, 39.4
1.738, 22.9
1.270, 35.6

=====

Record 4
Theoretical powder diffractogram
Compound: Tb3PmY8
Radiation: Cu Kα, 1.54184 Å
Structure: DFT lattice parameters and positions (PBE)
Kinematic intensities with the Lorentz-polarization factor, no thermal factor.

Crystal structure
```
12
Lattice="6.6848 -3.3495 0.0000 6.6848 3.3495 0.0000 -4.3397 0.0000 8.8811" Properties=species:S:1:pos:R:3 pbc="T T T"
Tb 0.0000 0.0000 0.0000
Tb -2.5781 0.0000 6.0572
Tb 11.6080 0.0000 2.8239
Pm 4.5149 0.0000 4.4405
Y -0.0915 1.7123 7.3829
Y 1.0185 0.0000 4.5959
Y 9.1214 1.7123 1.4982
Y 5.8142 0.0000 1.3853
Y 3.2157 0.0000 7.4958
Y -0.0915 -1.7123 7.3829
Y 8.0114 0.0000 4.2852
Y 9.1214 -1.7123 1.4982
```

Largest 6 diffraction maxima, sorted by position, 2θ = 10–90°:
d_spacing, I (rel.)
3.289, 33.3
3.003, 90.3
2.925, 100.0
2.903, 57.4
2.832, 76.4
2.440, 43.6

=====

Record 5
Theoretical powder diffractogram
Compound: Tb4Al2O9
Radiation: Cu Kα, 1.54184 Å
Structure: DFT lattice parameters and positions (PBE)
Kinematic intensities with the Lorentz-polarization factor, no thermal factor.

Crystal structure
```
60
Lattice="7.4708 0.0000 0.0000 0.0000 10.5979 0.0000 -3.5983 0.0000 10.6681" Properties=species:S:1:pos:R:3 pbc="T T T"
Tb -0.9315 0.9984 3.2666
Tb -2.7307 4.3005 8.6006
Tb -0.8894 6.5863 6.2485
Tb 0.9097 9.3105 0.9145
Tb -0.8419 1.3353 9.9941
Tb 0.9573 3.9636 4.6601
Tb 2.7885 6.4458 2.2929
Tb 0.9893 9.4510 7.6270
Tb 2.8832 1.1468 3.0411
Tb 1.0840 4.1521 8.3751
Tb 2.9152 6.6343 6.0080
Tb 4.7144 9.2625 0.6740
Tb 2.9627 1.2874 9.7536
Tb 4.7619 4.0115 4.4196
Tb 6.6032 6.2974 2.0675
Tb 4.8040 9.5994 7.4015
Al -0.6334 1.9226 6.6965
Al 1.1657 3.3763 1.3625
Al -0.5979 7.2001 9.4447
Al 1.2012 8.6967 4.1106
Al 2.6713 1.9012 6.5574
Al 4.4704 3.3978 1.2234
Al 2.7068 7.2215 9.3056
Al 4.5059 8.6753 3.9716
O -1.1839 2.4778 5.1252
O -2.9831 2.8211 10.4592
O -0.8350 5.3596 4.2003
O -2.6341 10.5372 9.5343
O 0.6718 7.7801 2.6969
O -1.1274 8.1168 8.0309
O -0.7643 0.2055 6.9915
O 1.0348 5.0934 1.6574
O 0.7577 2.5101 2.8594
O -1.0415 2.7889 8.1934
O -0.7416 5.5252 8.9131
O 1.0576 10.3716 3.5791
O 2.5662 7.7314 0.3985
O 0.7671 8.1654 5.7326
O 1.0186 2.5555 6.5679
O 2.8177 2.7434 1.2339
O 1.0721 5.3903 6.4748
O 2.8713 10.5065 1.1407
O 1.0012 0.0914 9.5273
O 2.8003 5.2076 4.1933
O 1.0547 7.8544 9.4342
O 2.8539 8.0424 4.1001
O 3.1054 2.4325 4.9355
O 1.3063 2.8664 10.2696
O 2.8149 0.2262 7.0890
O 4.6141 5.0727 1.7549
O 4.9140 7.8090 2.4747
O 3.1148 8.0878 7.8087
O 2.8376 5.5044 9.0106
O 4.6368 10.3924 3.6766
O 4.9999 2.4811 2.6372
O 3.2007 2.8178 7.9712
O 6.5066 0.0607 1.1338
O 4.7074 5.2382 6.4678
O 6.8556 7.7767 0.2089
O 5.0564 8.1201 5.5429
```

Largest 6 diffraction maxima, sorted by position, 2θ = 10–90°:
d_spacing, I (rel.)
7.519, 24.6
4.761, 41.2
3.053, 100.0
2.953, 71.2
2.945, 28.0
2.091, 20.5

=====

Record 6
Theoretical powder diffractogram
Compound: Ce8InOs6
Radiation: Cu Kα, 1.54184 Å
Structure: DFT lattice parameters and positions (PBE)
Kinematic intensities with the Lorentz-polarization factor, no thermal factor.

Crystal structure
```
15
Lattice="10.1772 0.0000 0.0000 -5.0886 8.8137 0.0000 0.0000 0.0000 4.0636" Properties=species:S:1:pos:R:3 pbc="T T T"
Ce -3.1457 6.3896 1.0570
Ce 1.1279 2.8947 1.0570
Ce 3.0708 0.4706 3.0065
Ce 0.0000 5.8758 3.0650
Ce 5.0886 2.9379 0.9986
Ce 2.0178 8.3432 1.0570
Ce 3.9607 5.9190 3.0065
Ce 8.2343 2.4241 3.0065
In 0.0000 0.0000 0.0000
Os -1.4831 4.1655 1.0010
Os -0.7396 8.0153 1.0010
Os 2.8659 3.3671 3.0626
Os 2.2227 5.4466 1.0010
Os 5.8282 0.7984 3.0626
Os 6.5717 4.6482 3.0626
```

Largest 6 diffraction maxima, sorted by position, 2θ = 10–90°:
d_spacing, I (rel.)
8.814, 32.2
2.987, 34.8
2.938, 24.0
2.576, 100.0
2.444, 34.9
2.156, 25.3

=====

Record 7
Theoretical powder diffractogram
Compound: Hg2GeTe4Au
Radiation: Cu Kα, 1.54184 Å
Structure: DFT lattice parameters and positions (PBE)
Kinematic intensities with the Lorentz-polarization factor, no thermal factor.

Crystal structure
```
8
Lattice="-3.2751 3.2751 6.5238 3.2751 -3.2751 6.5238 3.2751 3.2751 -6.5238" Properties=species:S:1:pos:R:3 pbc="T T T"
Hg 3.2751 0.0000 3.2619
Hg 0.0000 3.2751 3.2619
Ge 0.0000 0.0000 0.0000
Te 1.6224 -1.6224 4.9842
Te 1.6527 1.6527 1.5396
Te -1.6224 1.6224 4.9842
Te 1.6224 1.6224 8.0633
Au 0.0000 0.0000 6.5238
```

Largest 6 diffraction maxima, sorted by position, 2θ = 10–90°:
d_spacing, I (rel.)
3.777, 100.0
2.313, 79.6
1.974, 34.2
1.968, 16.6
1.500, 13.8
1.336, 18.5

=====

Record 8
Theoretical powder diffractogram
Compound: Ba2CdPPd6
Radiation: Cu Kα, 1.54184 Å
Structure: DFT lattice parameters and positions (PBE)
Kinematic intensities with the Lorentz-polarization factor, no thermal factor.

Crystal structure
```
10
Lattice="6.0709 0.0000 0.0000 2.9929 5.7539 0.0000 2.9835 1.3951 6.5775" Properties=species:S:1:pos:R:3 pbc="T T T"
Ba 3.0083 1.7431 2.0733
Ba 9.0391 5.4059 4.5042
Cd 6.0237 3.5745 3.2888
P 0.0000 0.0000 0.0000
Pd 4.6246 2.5382 5.4398
Pd 5.9963 4.9440 5.6793
Pd 4.6594 4.6117 1.1189
Pd 7.3880 2.5372 5.4586
Pd 6.0510 2.2049 0.8982
Pd 7.4227 4.6107 1.1377
```

Largest 6 diffraction maxima, sorted by position, 2θ = 10–90°:
d_spacing, I (rel.)
2.984, 22.5
2.815, 34.8
2.576, 30.8
2.554, 30.9
2.396, 100.0
1.624, 21.3

=====

Record 9
Theoretical powder diffractogram
Compound: Cs2RhI5
Radiation: Cu Kα, 1.54184 Å
Structure: DFT lattice parameters and positions (PBE)
Kinematic intensities with the Lorentz-polarization factor, no thermal factor.

Crystal structure
```
8
Lattice="8.0393 0.0000 0.0000 -0.9813 7.9812 0.0000 -3.5277 -3.9865 6.0273" Properties=species:S:1:pos:R:3 pbc="T T T"
Cs 0.0000 0.0000 0.0000
Cs -0.0094 0.0201 6.0232
Rh 4.1611 0.1746 3.0114
I -2.1684 2.1017 3.0218
I 2.0122 1.7817 3.0102
I 4.0187 0.0138 0.3367
I 4.0038 -0.0008 5.6839
I 6.0093 -1.7710 3.0111
```

Largest 6 diffraction maxima, sorted by position, 2θ = 10–90°:
d_spacing, I (rel.)
6.654, 49.0
3.327, 100.0
3.012, 59.2
2.664, 23.1
1.995, 34.7
1.794, 24.1

=====

Record 10
Theoretical powder diffractogram
Compound: Mn8Ge2C
Radiation: Cu Kα, 1.54184 Å
Structure: DFT lattice parameters and positions (PBE)
Kinematic intensities with the Lorentz-polarization factor, no thermal factor.

Crystal structure
```
11
Lattice="3.1013 0.0000 0.0000 0.0000 3.9799 0.0000 0.0000 0.0000 10.3893" Properties=species:S:1:pos:R:3 pbc="T T T"
Mn 0.0000 0.0000 0.0000
Mn 0.0000 0.0000 3.9515
Mn 0.0000 0.0000 6.4379
Mn 0.0000 1.9900 2.0336
Mn 0.0000 1.9900 8.3558
Mn 1.5506 1.9900 0.0000
Mn 1.5506 1.9900 3.9845
Mn 1.5506 1.9900 6.4049
Ge 1.5506 0.0000 1.9199
Ge 1.5506 0.0000 8.4695
C 1.5506 0.0000 5.1947
```

Largest 6 diffraction maxima, sorted by position, 2θ = 10–90°:
d_spacing, I (rel.)
2.213, 54.8
2.078, 33.1
1.998, 100.0
1.990, 37.2
1.437, 18.5
1.147, 18.8

=====

Record 11
Theoretical powder diffractogram
Compound: Nd3Sm3Er
Radiation: Cu Kα, 1.54184 Å
Structure: DFT lattice parameters and positions (PBE)
Kinematic intensities with the Lorentz-polarization factor, no thermal factor.

Crystal structure
```
14
Lattice="9.7407 0.0000 0.0000 -4.8703 8.4357 0.0000 0.0000 0.0000 5.8356" Properties=species:S:1:pos:R:3 pbc="T T T"
Nd -1.3900 4.0087 1.4589
Nd -0.7037 7.6351 1.4589
Nd 2.7766 3.2081 4.3767
Nd 2.0937 5.2275 1.4589
Nd 5.5740 0.8006 4.3767
Nd 6.2603 4.4270 4.3767
Sm -0.7108 2.0112 4.3767
Sm -2.7732 8.0456 4.3767
Sm 1.3864 1.6212 1.4589
Sm 3.4839 6.8145 4.3767
Sm 7.6435 0.3900 1.4589
Sm 5.5811 6.4244 1.4589
Er 0.0000 5.6238 4.3767
Er 4.8703 2.8119 1.4589
```

Largest 6 diffraction maxima, sorted by position, 2θ = 10–90°:
d_spacing, I (rel.)
3.188, 23.6
2.918, 24.9
2.798, 100.0
1.841, 19.7
1.661, 21.2
1.557, 22.9

=====

Record 12
Theoretical powder diffractogram
Compound: Tb2Pm2Ho5
Radiation: Cu Kα, 1.54184 Å
Structure: DFT lattice parameters and positions (PBE)
Kinematic intensities with the Lorentz-polarization factor, no thermal factor.

Crystal structure
```
9
Lattice="3.5972 0.0000 0.0000 -0.0003 8.8429 0.0000 -1.7969 -2.1829 9.0550" Properties=species:S:1:pos:R:3 pbc="T T T"
Tb 0.0015 8.1141 3.0197
Tb 1.7985 -1.4541 6.0353
Pm -0.0036 2.5549 1.6728
Pm 1.8036 4.1051 7.3821
Ho 0.0031 4.8492 4.3560
Ho -0.0032 1.0787 7.6931
Ho 1.7986 0.0000 0.0000
Ho 1.8032 5.5813 1.3619
Ho 1.7969 1.8109 4.6990
```

Largest 6 diffraction maxima, sorted by position, 2θ = 10–90°:
d_spacing, I (rel.)
3.088, 36.8
2.866, 49.5
2.801, 100.0
2.663, 86.6
1.794, 25.4
1.521, 29.6